# Ir2ICl
Theoretical X-ray diffraction stick pattern, λ = 1.5418 Å (Cu Kα). Input: a DFT-relaxed cell (PBE, OQMD).

Most intense lines, 5° ≤ 2θ ≤ 70°, in order of rising 2θ:
2θ/deg  intensity
12.01  84
26.32  100
29.03  17
36.03  61
45.63  73
46.46  46
48.16  17
67.16  23

Structural model:
Lattice parameters (Å, degrees): 3.909 3.909 7.369 90.00 90.00 120.00
Element x y z (fractional)
Ir 0.000 0.000 0.185
Ir 0.000 0.000 0.815
I 0.667 0.333 0.000
Cl 0.000 0.000 0.500

=====

# BaDyMgSe3
Theoretical X-ray diffraction stick pattern, λ = 1.5418 Å (Cu Kα). Input: a DFT-relaxed cell (PBE, OQMD).

Most intense lines, 5° ≤ 2θ ≤ 70°, in order of rising 2θ:
2θ/deg  intensity
20.42  74
28.04  71
29.25  100
32.62  75
33.00  45
33.19  44
40.77  48
41.21  46

Structural model:
Lattice parameters (Å, degrees): 7.571 7.571 10.858 90.00 90.00 147.65
Element x y z (fractional)
Ba 0.249 0.751 0.750
Ba 0.751 0.249 0.250
Dy 0.500 0.500 0.000
Dy 0.500 0.500 0.500
Mg 0.032 0.968 0.250
Mg 0.968 0.032 0.750
Se 0.135 0.865 0.061
Se 0.135 0.865 0.439
Se 0.429 0.571 0.250
Se 0.571 0.429 0.750
Se 0.865 0.135 0.561
Se 0.865 0.135 0.939

=====

# ErTmSe2Cl2
Theoretical X-ray diffraction stick pattern, λ = 1.5418 Å (Cu Kα). Input: a DFT-relaxed cell (PBE, OQMD).

Most intense lines, 5° ≤ 2θ ≤ 70°, in order of rising 2θ:
2θ/deg  intensity
10.75  100
19.18  32
24.78  31
31.21  60
31.99  30
40.88  17
43.16  14
45.30  42

Structural model:
Lattice parameters (Å, degrees): 3.994 5.596 8.227 90.00 90.00 90.00
Element x y z (fractional)
Er 0.000 0.000 0.000
Tm 0.500 0.500 0.282
Se 0.000 0.500 0.036
Se 0.500 0.000 0.248
Cl 0.000 0.500 0.490
Cl 0.500 0.000 0.790

=====

# Cu9Ag
Theoretical X-ray diffraction stick pattern, λ = 1.5418 Å (Cu Kα). Input: a DFT-relaxed cell (PBE, OQMD).

Most intense lines, 5° ≤ 2θ ≤ 70°, in order of rising 2θ:
2θ/deg  intensity
37.20  2
37.38  2
40.22  2
42.49  100
42.65  98
48.88  65
50.91  28
65.09  2

Structural model:
Lattice parameters (Å, degrees): 9.160 9.160 5.255 98.25 98.25 16.59
Element x y z (fractional)
Cu 0.000 0.000 0.000
Cu 0.201 0.201 0.599
Cu 0.203 0.203 0.102
Cu 0.394 0.394 0.188
Cu 0.395 0.395 0.707
Cu 0.605 0.605 0.293
Cu 0.606 0.606 0.812
Cu 0.797 0.797 0.898
Cu 0.799 0.799 0.401
Ag 0.000 0.000 0.500